Entry 1:
Starting from a DFT-relaxed cell (PBE+U, the Materials Project), the PXRD pattern of LiMgAlMo3O12 was computed for a wavelength of 1.5418 Å.
Intensities are scaled so that the largest is 100.

Cell and atoms:
a b c (Å): 6.7988 6.8841 11.5311
angles (deg): 77.68 85.95 78.14
Space group P-1 (No. 2)
Unique sites:
Li 0.1753 0.4372 0.0873 x2
Mg 0.1987 0.8405 0.4777 x2
Al 0.1971 0.2301 0.8721 x2
Mo 0.2442 0.3018 0.5543 x2
Mo 0.2497 0.9057 0.1442 x2
Mo 0.2984 0.7133 0.8139 x2
O 0.0975 0.7320 0.1146 x2
O 0.1122 0.1371 0.4990 x2
O 0.1677 0.5070 0.8957 x2
O 0.1822 0.3120 0.7086 x2
O 0.1869 0.9477 0.2880 x2
O 0.2012 0.1522 0.0424 x2
O 0.2029 0.5488 0.4611 x2
O 0.2146 0.9500 0.8656 x2
O 0.2501 0.7567 0.6619 x2
O 0.4413 0.3603 0.1676 x2
O 0.4869 0.1992 0.8654 x2
O 0.5002 0.1926 0.5457 x2

Main lines, low angle first (10° ≤ 2θ ≤ 90°):
index, Position (°2θ), I/Imax
1 1 -1, 20.0, 37.6
1 1 2, 21.0, 52.3
1 -1 1, 23.0, 65.7
0 0 3, 23.7, 100.0
-1 1 2, 24.6, 41.5
0 2 1, 26.6, 35.9
2 0 0, 26.8, 87.8
1 2 1, 27.2, 35.9
0 1 -3, 29.7, 28.5
1 4 1, 53.4, 33.2

---

Entry 2:
Starting from a DFT-relaxed cell (PBE+U, the Materials Project), the PXRD pattern of Li3MnAl2O6 was computed for a wavelength of 1.5418 Å.
Intensities are scaled so that the largest is 100.

Cell and atoms:
a b c (Å): 5.3017 5.9261 7.8299
angles (deg): 89.97 79.53 89.40
Space group P-1 (No. 2)
Unique sites:
Li 0.0033 0.1598 0.2567 x2
Li 0.1607 0.6660 0.4171 x2
Li 0.3269 0.8459 0.0975 x2
Mn 0.4975 0.3293 0.2421 x2
Al 0.1628 0.3245 0.9185 x2
Al 0.3308 0.1669 0.5871 x2
O 0.0296 0.1779 0.7545 x2
O 0.1705 0.6366 0.9215 x2
O 0.2005 0.3192 0.4196 x2
O 0.3193 0.1837 0.0732 x2
O 0.3466 0.8555 0.5797 x2
O 0.4778 0.3284 0.7421 x2

Main lines, low angle first (10° ≤ 2θ ≤ 90°):
index, Position (°2θ), I/Imax
1 0 0, 17.0, 49.1
1 0 1, 18.7, 29.2
0 1 1, 18.9, 29.3
1 -1 0, 22.8, 29.9
1 1 1, 24.0, 18.0
0 2 0, 30.2, 100.0
1 -1 2, 30.3, 56.3
2 0 -2, 45.4, 58.2
1 3 2, 53.5, 31.8
2 0 4, 53.8, 63.1

---

Entry 3:
Starting from a DFT-relaxed cell (PBE+U, the Materials Project), the PXRD pattern of Li3MnAl2O6 was computed for a wavelength of 1.5418 Å.
Intensities are scaled so that the largest is 100.

Cell and atoms:
a b c (Å): 9.7883 5.6001 11.3030
angles (deg): 90.00 125.06 90.00
Space group P2_1/c (No. 14)
Unique sites:
Li 0.0739 0.2444 0.4637 x4
Li 0.2549 0.0025 0.7356 x4
Li 0.4214 0.7467 0.1342 x4
Mn 0.2519 0.5026 0.7434 x4
Al 0.1238 0.7363 0.3947 x4
Al 0.3729 0.2416 0.5218 x4
O 0.0725 0.2220 0.1326 x4
O 0.1115 0.7434 0.2321 x4
O 0.2421 0.5065 0.0015 x4
O 0.2532 0.0061 0.0130 x4
O 0.3928 0.2471 0.3756 x4
O 0.4327 0.7244 0.8084 x4

Main lines, low angle first (10° ≤ 2θ ≤ 90°):
index, Position (°2θ), I/Imax
1 1 -1, 18.5, 63.6
2 0 0, 22.2, 24.2
1 1 1, 24.3, 24.5
0 1 2, 25.0, 21.5
2 1 0, 27.4, 21.4
1 1 -3, 29.1, 18.7
2 0 -4, 31.7, 100.0
2 2 0, 39.3, 42.4
0 2 4, 51.2, 13.1
4 2 0, 56.5, 37.8

---

Entry 4:
Starting from a DFT-relaxed cell (PBE+U, the Materials Project), the PXRD pattern of Li3MnAl2O6 was computed for a wavelength of 1.5418 Å.
Intensities are scaled so that the largest is 100.

Cell and atoms:
a b c (Å): 5.9234 10.3314 9.9138
angles (deg): 90.00 126.35 90.00
Space group P2_1/c (No. 14)
Unique sites:
Li 0.1886 0.1517 0.3748 x4
Li 0.2139 0.0016 0.8653 x4
Li 0.2613 0.0041 0.6175 x4
Mn 0.2899 0.1656 0.1266 x4
Al 0.2167 0.6653 0.8838 x4
Al 0.2981 0.6581 0.6258 x4
O 0.0223 0.1708 0.8856 x4
O 0.0636 0.5207 0.8773 x4
O 0.0705 0.6807 0.3860 x4
O 0.4361 0.5040 0.6277 x4
O 0.4700 0.6904 0.1314 x4
O 0.4988 0.1712 0.6369 x4

Main lines, low angle first (10° ≤ 2θ ≤ 90°):
index, Position (°2θ), I/Imax
0 2 0, 17.2, 68.4
1 0 -2, 18.7, 36.8
0 1 2, 23.9, 30.5
1 1 1, 28.2, 37.6
1 3 -1, 30.0, 100.0
2 0 -2, 30.2, 47.6
0 0 4, 45.4, 55.1
0 6 0, 53.2, 28.7
3 3 -3, 53.5, 59.4
3 3 1, 72.5, 40.9

---

Entry 5:
Starting from a DFT-relaxed cell (PBE+U, the Materials Project), the PXRD pattern of Li2MnAlO4 was computed for a wavelength of 1.5418 Å.
Intensities are scaled so that the largest is 100.

Cell and atoms:
a b c (Å): 5.3269 5.9088 11.1281
angles (deg): 90.00 110.90 90.00
Space group P2_1/c (No. 14)
Unique sites:
Li 0.0683 0.1611 0.1945 x4
Li 0.3048 0.1552 0.9295 x4
Mn 0.4358 0.6861 0.8178 x4
Al 0.1895 0.6715 0.0590 x4
O 0.0930 0.6884 0.6822 x4
O 0.1891 0.1420 0.5568 x4
O 0.2942 0.6845 0.4434 x4
O 0.4514 0.1690 0.3142 x4

Main lines, low angle first (10° ≤ 2θ ≤ 90°):
index, Position (°2θ), I/Imax
0 1 1, 17.3, 36.8
1 0 0, 17.8, 52.0
1 0 -2, 19.8, 46.8
1 1 0, 23.4, 69.9
1 1 -2, 24.9, 39.5
1 1 -3, 29.8, 100.0
0 2 0, 30.3, 82.3
2 0 2, 45.7, 65.4
2 0 -6, 52.5, 38.1
1 3 -3, 53.4, 73.1

---

Entry 6:
Starting from a DFT-relaxed cell (PBE+U, the Materials Project), the PXRD pattern of Li6MnAlO6 was computed for a wavelength of 1.5418 Å.
Intensities are scaled so that the largest is 100.

Cell and atoms:
a b c (Å): 5.6093 9.1208 9.7959
angles (deg): 90.00 92.65 90.00
Space group C2/c (No. 15)
Unique sites:
Li 0.1280 0.1880 0.0785 x8
Li 0.1557 0.4710 0.0732 x8
Li 0.2243 0.1562 0.5808 x8
Mn 0.0000 0.0027 0.7500 x4
Al 0.0000 0.3393 0.7500 x4
O 0.1089 0.1726 0.8668 x8
O 0.1550 0.4701 0.8725 x8
O 0.1876 0.1459 0.3617 x8

Main lines, low angle first (10° ≤ 2θ ≤ 90°):
index, Position (°2θ), I/Imax
0 0 2, 18.1, 100.0
1 1 0, 18.6, 53.6
0 2 0, 19.5, 30.9
1 1 -1, 20.4, 30.5
1 1 -2, 25.6, 30.9
2 0 -2, 36.2, 67.5
1 3 2, 38.7, 85.7
2 0 -4, 48.2, 27.1
1 3 4, 51.2, 57.4
3 3 0, 57.9, 35.7

---

Entry 7:
Starting from a DFT-relaxed cell (PBE+U, the Materials Project), the PXRD pattern of Li2MnAl2O6 was computed for a wavelength of 1.5418 Å.
Intensities are scaled so that the largest is 100.

Cell and atoms:
a b c (Å): 8.4927 4.9676 10.1531
angles (deg): 90.00 90.00 90.00
Space group Cmce (No. 64)
Unique sites:
Li 0.2500 0.0984 0.2500 x8
Mn 0.0000 0.0000 0.0000 x4
Al 0.1634 0.0000 0.5000 x8
O 0.0000 0.1678 0.5955 x8
O 0.1726 0.1624 0.8983 x16

Main lines, low angle first (10° ≤ 2θ ≤ 90°):
index, Position (°2θ), I/Imax
0 0 2, 17.5, 100.0
1 1 1, 22.5, 8.8
3 1 1, 37.6, 14.3
0 2 2, 40.4, 10.2
3 1 2, 40.8, 14.3
0 2 3, 45.3, 6.6
3 1 3, 45.6, 25.8
0 2 4, 51.5, 12.4
3 1 5, 59.0, 17.3
6 0 0, 66.0, 19.7